# 1
Sm5ErTe4: calculated X-ray diffraction stick pattern (Cu Kα (weighted mean of Kα1 and Kα2)), based on DFT lattice parameters and positions (PBE).
Peak positions follow from Bragg's law for the DFT cell and can differ from measured ones.

Cell and atoms:
Cell: 18.5338 4.2240 8.6052 Å, 90.00 101.89 90.00°
Space group C2/m (No. 12)
Inequivalent atoms, fractional coordinates:
Sm  0.0000  0.0000  0.0000 (multiplicity 2)
Sm  0.1664  0.5000  0.2988 (multiplicity 4)
Sm  0.1845  0.5000  0.8588 (multiplicity 4)
Er  0.0000  0.0000  0.5000 (multiplicity 2)
Te  0.0084  0.5000  0.7478 (multiplicity 4)
Te  0.1649  0.0000  0.5712 (multiplicity 4)

Peak list (10 most intense, 10 to 90 degrees two-theta, in order of falling intensity)
- 29.61°, intensity 100.0
- 42.78°, intensity 36.7
- 41.96°, intensity 33.4
- 52.89°, intensity 18.3
- 25.73°, intensity 12.4
- 70.34°, intensity 10.6
- 69.17°, intensity 8.1
- 61.54°, intensity 7.2
- 77.84°, intensity 6.7
- 35.88°, intensity 6.2


# 2
Sm5Er3Te8: calculated X-ray diffraction stick pattern (Cu Kα (weighted mean of Kα1 and Kα2)), based on DFT lattice parameters and positions (PBE).
Peak positions follow from Bragg's law for the DFT cell and can differ from measured ones.

Cell and atoms:
Cell: 8.7396 8.7396 21.8360 Å, 90.00 90.00 120.00°
Space group R-3m (No. 166, hexagonal axes)
Inequivalent atoms, fractional coordinates:
Sm  0.0000  0.0000  0.0000 (multiplicity 3)
Sm  0.0000  0.0000  0.5000 (multiplicity 3)
Sm  0.0000  0.5000  0.0000 (multiplicity 9)
Er  0.0000  0.5000  0.5000 (multiplicity 9)
Te  0.0000  0.0000  0.2462 (multiplicity 6)
Te  0.0051  0.5025  0.7526 (multiplicity 18)

Peak list (10 most intense, 10 to 90 degrees two-theta, in order of falling intensity)
- 28.70°, intensity 100.0
- 40.76°, intensity 38.5
- 41.32°, intensity 37.4
- 51.09°, intensity 20.1
- 66.92°, intensity 17.5
- 67.72°, intensity 17.1
- 74.96°, intensity 12.7
- 59.44°, intensity 12.7
- 50.13°, intensity 7.0
- 73.81°, intensity 6.5


# 3
Sm2Er5Te4: calculated X-ray diffraction stick pattern (Cu Kα (weighted mean of Kα1 and Kα2)), based on DFT lattice parameters and positions (PBE).
Peak positions follow from Bragg's law for the DFT cell and can differ from measured ones.

Cell and atoms:
Cell: 31.1742 3.9052 6.2393 Å, 90.00 97.45 90.00°
Space group C2/m (No. 12)
Inequivalent atoms, fractional coordinates:
Sm  0.0809  0.0000  0.3031 (multiplicity 4)
Er  0.0000  0.5000  0.0000 (multiplicity 2)
Er  0.1494  0.0000  0.8606 (multiplicity 4)
Er  0.1923  0.0000  0.3924 (multiplicity 4)
Te  0.0517  0.0000  0.7666 (multiplicity 4)
Te  0.2200  0.5000  0.7593 (multiplicity 4)

Peak list (10 most intense, 10 to 90 degrees two-theta, in order of falling intensity)
- 22.97°, intensity 100.0
- 36.89°, intensity 96.0
- 28.75°, intensity 83.5
- 36.41°, intensity 76.6
- 34.78°, intensity 69.7
- 30.60°, intensity 50.7
- 56.76°, intensity 48.1
- 46.51°, intensity 45.1
- 24.38°, intensity 45.0
- 31.59°, intensity 37.8


# 4
Sm2ErTl3Te6: calculated X-ray diffraction stick pattern (Cu Kα (weighted mean of Kα1 and Kα2)), based on DFT lattice parameters and positions (PBE).
Peak positions follow from Bragg's law for the DFT cell and can differ from measured ones.

Cell and atoms:
Cell: 7.7811 13.4755 8.5842 Å, 90.00 107.59 90.00°
Space group C2/m (No. 12)
Inequivalent atoms, fractional coordinates:
Sm  0.0000  0.1663  0.0000 (multiplicity 4)
Er  0.0000  0.5000  0.0000 (multiplicity 2)
Tl  0.0000  0.0000  0.5000 (multiplicity 2)
Tl  0.0000  0.3310  0.5000 (multiplicity 4)
Te  0.2349  0.3366  0.2150 (multiplicity 8)
Te  0.2459  0.0000  0.2170 (multiplicity 4)

Peak list (10 most intense, 10 to 90 degrees two-theta, in order of falling intensity)
- 27.14°, intensity 100.0
- 37.32°, intensity 39.0
- 40.15°, intensity 36.4
- 49.13°, intensity 19.7
- 65.25°, intensity 16.7
- 61.29°, intensity 15.5
- 55.97°, intensity 12.1
- 71.10°, intensity 11.7
- 44.28°, intensity 6.8
- 72.95°, intensity 6.2


# 5
Sm2YErTe6: calculated X-ray diffraction stick pattern (Cu Kα (weighted mean of Kα1 and Kα2)), based on DFT lattice parameters and positions (PBE).
Peak positions follow from Bragg's law for the DFT cell and can differ from measured ones.

Cell and atoms:
Cell: 7.7696 7.7696 21.1756 Å, 90.00 90.00 120.00°
Space group R3 (No. 146, hexagonal axes)
Inequivalent atoms, fractional coordinates:
Sm  0.0000  0.0000  0.0000 (multiplicity 3)
Sm  0.0000  0.0000  0.4997 (multiplicity 3)
Y  0.0000  0.0000  0.3119 (multiplicity 3)
Er  0.0000  0.0000  0.8123 (multiplicity 3)
Te  0.0114  0.6952  0.9029 (multiplicity 9)
Te  0.0134  0.3195  0.4035 (multiplicity 9)

Peak list (10 most intense, 10 to 90 degrees two-theta, in order of falling intensity)
- 26.18°, intensity 100.0
- 34.33°, intensity 93.4
- 40.21°, intensity 61.6
- 15.60°, intensity 31.1
- 53.88°, intensity 24.3
- 21.36°, intensity 23.1
- 45.05°, intensity 22.9
- 69.31°, intensity 21.2
- 31.51°, intensity 19.8
- 67.54°, intensity 19.4


# 6
Sm12Er6Th: calculated X-ray diffraction stick pattern (Cu Kα (weighted mean of Kα1 and Kα2)), based on DFT lattice parameters and positions (PBE).
Peak positions follow from Bragg's law for the DFT cell and can differ from measured ones.

Cell and atoms:
Cell: 13.2051 13.2051 12.7653 Å, 90.00 90.00 120.00°
Space group R-3m (No. 166, hexagonal axes)
Inequivalent atoms, fractional coordinates:
Sm  0.0000  0.2630  0.0000 (multiplicity 18)
Sm  0.0552  0.5276  0.1142 (multiplicity 18)
Er  0.0881  0.1762  0.7719 (multiplicity 18)
Th  0.0000  0.0000  0.0000 (multiplicity 3)

Peak list (10 most intense, 10 to 90 degrees two-theta, in order of falling intensity)
- 31.50°, intensity 100.0
- 32.08°, intensity 68.9
- 29.05°, intensity 28.3
- 49.01°, intensity 27.3
- 56.84°, intensity 25.5
- 58.33°, intensity 20.0
- 34.37°, intensity 19.1
- 84.90°, intensity 13.4
- 61.22°, intensity 12.9
- 67.15°, intensity 10.6


# 7
Sm7Er12Th: calculated X-ray diffraction stick pattern (Cu Kα (weighted mean of Kα1 and Kα2)), based on DFT lattice parameters and positions (PBE).
Peak positions follow from Bragg's law for the DFT cell and can differ from measured ones.

Cell and atoms:
Cell: 12.1939 12.1939 15.3417 Å, 90.00 90.00 120.00°
Space group R-3 (No. 148, hexagonal axes)
Inequivalent atoms, fractional coordinates:
Sm  0.0000  0.0000  0.0000 (multiplicity 3)
Sm  0.0359  0.1854  0.3045 (multiplicity 18)
Er  0.0122  0.4458  0.2021 (multiplicity 18)
Er  0.0577  0.5867  0.5890 (multiplicity 18)
Th  0.0000  0.0000  0.5000 (multiplicity 3)

Peak list (10 most intense, 10 to 90 degrees two-theta, in order of falling intensity)
- 31.09°, intensity 100.0
- 32.37°, intensity 60.3
- 32.73°, intensity 51.2
- 30.33°, intensity 31.4
- 33.79°, intensity 30.2
- 30.84°, intensity 24.1
- 54.22°, intensity 23.9
- 53.53°, intensity 18.6
- 34.24°, intensity 16.0
- 52.97°, intensity 14.4


# 8
Sm5ErTh2: calculated X-ray diffraction stick pattern (Cu Kα (weighted mean of Kα1 and Kα2)), based on DFT lattice parameters and positions (PBE).
Peak positions follow from Bragg's law for the DFT cell and can differ from measured ones.

Cell and atoms:
Cell: 13.7833 11.3245 3.5362 Å, 90.00 104.81 90.00°
Space group C2/m (No. 12)
Inequivalent atoms, fractional coordinates:
Sm  0.0000  0.0000  0.0000 (multiplicity 2)
Sm  0.1300  0.2381  0.6312 (multiplicity 8)
Er  0.0000  0.5000  0.0000 (multiplicity 2)
Th  0.2417  0.5000  0.7409 (multiplicity 4)

Peak list (10 most intense, 10 to 90 degrees two-theta, in order of falling intensity)
- 31.15°, intensity 100.0
- 30.55°, intensity 56.4
- 31.60°, intensity 47.1
- 32.36°, intensity 35.6
- 61.60°, intensity 29.0
- 45.86°, intensity 25.9
- 29.67°, intensity 25.8
- 57.33°, intensity 19.3
- 56.00°, intensity 17.6
- 37.37°, intensity 14.9


# 9
Sm4Er7Th: calculated X-ray diffraction stick pattern (Cu Kα (weighted mean of Kα1 and Kα2)), based on DFT lattice parameters and positions (PBE).
Peak positions follow from Bragg's law for the DFT cell and can differ from measured ones.

Cell and atoms:
Cell: 7.0889 7.9344 7.9397 Å, 95.91 102.56 116.34°
Space group P-1 (No. 2)
Inequivalent atoms, fractional coordinates:
Sm  0.0057  0.1698  0.1687 (multiplicity 2)
Sm  0.2541  0.6665  0.1707 (multiplicity 2)
Er  0.0000  0.5000  0.5000 (multiplicity 1)
Er  0.2522  0.0043  0.4996 (multiplicity 2)
Er  0.2541  0.3358  0.8290 (multiplicity 2)
Er  0.4993  0.8301  0.8302 (multiplicity 2)
Th  0.5000  0.5000  0.5000 (multiplicity 1)

Peak list (10 most intense, 10 to 90 degrees two-theta, in order of falling intensity)
- 30.78°, intensity 100.0
- 35.70°, intensity 45.0
- 30.96°, intensity 32.8
- 51.57°, intensity 23.8
- 35.83°, intensity 22.3
- 61.30°, intensity 18.9
- 51.39°, intensity 16.0
- 61.05°, intensity 14.3
- 61.18°, intensity 14.2
- 86.78°, intensity 9.2


# 10
Sm5Er12Th2: calculated X-ray diffraction stick pattern (Cu Kα (weighted mean of Kα1 and Kα2)), based on DFT lattice parameters and positions (PBE).
Peak positions follow from Bragg's law for the DFT cell and can differ from measured ones.

Cell and atoms:
Cell: 6.1939 9.6747 10.4541 Å, 80.14 82.24 87.50°
Space group P-1 (No. 2)
Inequivalent atoms, fractional coordinates:
Sm  0.0000  0.0000  0.0000 (multiplicity 1)
Sm  0.0992  0.9599  0.3367 (multiplicity 2)
Sm  0.4095  0.5466  0.8534 (multiplicity 2)
Er  0.0574  0.3439  0.7641 (multiplicity 2)
Er  0.0705  0.7188  0.6141 (multiplicity 2)
Er  0.1147  0.3206  0.0890 (multiplicity 2)
Er  0.4134  0.8781  0.7795 (multiplicity 2)
Er  0.4193  0.1656  0.5433 (multiplicity 2)
Er  0.4706  0.8164  0.1116 (multiplicity 2)
Th  0.2970  0.5070  0.4296 (multiplicity 2)

Peak list (10 most intense, 10 to 90 degrees two-theta, in order of falling intensity)
- 31.45°, intensity 100.0
- 32.38°, intensity 74.3
- 31.30°, intensity 60.6
- 32.00°, intensity 55.8
- 31.67°, intensity 51.4
- 30.42°, intensity 49.0
- 29.59°, intensity 42.5
- 30.14°, intensity 33.8
- 30.81°, intensity 33.0
- 31.85°, intensity 28.1


# 11
Sm2Er2Th15: calculated X-ray diffraction stick pattern (Cu Kα (weighted mean of Kα1 and Kα2)), based on DFT lattice parameters and positions (PBE).
Peak positions follow from Bragg's law for the DFT cell and can differ from measured ones.

Cell and atoms:
Cell: 11.4389 11.4389 17.2442 Å, 90.00 90.00 120.00°
Space group R-3m (No. 166, hexagonal axes)
Inequivalent atoms, fractional coordinates:
Sm  0.0000  0.0000  0.1804 (multiplicity 6)
Er  0.0000  0.0000  0.4018 (multiplicity 6)
Th  0.0000  0.2972  0.5000 (multiplicity 18)
Th  0.0000  0.5000  0.0000 (multiplicity 9)
Th  0.0095  0.5047  0.6484 (multiplicity 18)

Peak list (10 most intense, 10 to 90 degrees two-theta, in order of falling intensity)
- 31.25°, intensity 100.0
- 35.05°, intensity 64.4
- 31.12°, intensity 25.5
- 31.62°, intensity 23.0
- 15.48°, intensity 21.0
- 34.94°, intensity 18.3
- 65.20°, intensity 18.1
- 55.67°, intensity 17.4
- 27.00°, intensity 14.5
- 55.44°, intensity 14.3


# 12
Sm3Er3Th2: calculated X-ray diffraction stick pattern (Cu Kα (weighted mean of Kα1 and Kα2)), based on DFT lattice parameters and positions (PBE).
Peak positions follow from Bragg's law for the DFT cell and can differ from measured ones.

Cell and atoms:
Cell: 5.0380 5.0499 20.3193 Å, 90.00 90.00 90.00°
Space group Immm (No. 71)
Inequivalent atoms, fractional coordinates:
Sm  0.0000  0.0000  0.0000 (multiplicity 2)
Sm  0.0000  0.5000  0.1278 (multiplicity 4)
Er  0.0000  0.0000  0.5000 (multiplicity 2)
Er  0.0000  0.5000  0.3727 (multiplicity 4)
Th  0.0000  0.0000  0.2496 (multiplicity 4)

Peak list (10 most intense, 10 to 90 degrees two-theta, in order of falling intensity)
- 30.63°, intensity 100.0
- 35.60°, intensity 33.7
- 51.03°, intensity 24.3
- 35.34°, intensity 17.0
- 60.82°, intensity 14.5
- 60.53°, intensity 14.5
- 60.93°, intensity 14.4
- 63.77°, intensity 12.5
- 51.23°, intensity 12.1
- 83.51°, intensity 6.0


# 13
SmEr4Th2: calculated X-ray diffraction stick pattern (Cu Kα (weighted mean of Kα1 and Kα2)), based on DFT lattice parameters and positions (PBE).
Peak positions follow from Bragg's law for the DFT cell and can differ from measured ones.

Cell and atoms:
Cell: 3.4668 8.5226 8.6666 Å, 62.43 88.88 81.30°
Space group P-1 (No. 2)
Inequivalent atoms, fractional coordinates:
Sm  0.0000  0.0000  0.0000 (multiplicity 1)
Er  0.0445  0.4498  0.7153 (multiplicity 2)
Er  0.3570  0.8536  0.4233 (multiplicity 2)
Th  0.4085  0.7157  0.8674 (multiplicity 2)

Peak list (10 most intense, 10 to 90 degrees two-theta, in order of falling intensity)
- 30.78°, intensity 100.0
- 31.93°, intensity 87.9
- 32.28°, intensity 85.0
- 32.56°, intensity 59.4
- 32.92°, intensity 57.5
- 29.95°, intensity 53.5
- 59.34°, intensity 24.8
- 30.45°, intensity 24.6
- 34.09°, intensity 21.7
- 49.39°, intensity 21.5